Structure and simulated powder diffraction line list of NiH (DFT lattice parameters and positions (PBE); Cu Ka).
Peak positions follow from Bragg's law for the DFT cell and can differ from measured ones.

Structural model:
```
data_NiH
_cell_length_a 2.5498
_cell_length_b 4.2933
_cell_length_c 4.2933
_cell_angle_alpha 106.12
_cell_angle_beta 90.00
_cell_angle_gamma 90.00
_space_group_name_H-M_alt 'P 1'
_space_group_IT_number 1
_space_group_name_Hall 'P 1'
loop_
_atom_site_label
_atom_site_type_symbol
_atom_site_fract_x
_atom_site_fract_y
_atom_site_fract_z
Ni1 Ni 0.0000 0.0000 0.0000
Ni2 Ni 0.5000 0.0234 0.5051
Ni3 Ni 0.5000 0.5051 0.0234
H1 H 0.0000 0.2755 0.7571
H2 H 0.0000 0.7571 0.2755
H3 H 0.5000 0.7770 0.7770
```

The 6 most intense peaks (10 to 90 degrees two-theta), sorted by position:
two_theta  intensity
21.5  79
43.9  100
44.3  98
50.3  70
53.4  28
76.4  35

=====

Structure and simulated powder diffraction line list of Ce2Te4Cl2O11 (DFT lattice parameters and positions (PBE); Cu Ka).
Peak positions follow from Bragg's law for the DFT cell and can differ from measured ones.

Structural model:
```
data_Ce2Te4Cl2O11
_cell_length_a 8.2767
_cell_length_b 10.3755
_cell_length_c 10.9059
_cell_angle_alpha 111.79
_cell_angle_beta 111.09
_cell_angle_gamma 95.45
_space_group_name_H-M_alt 'P 1'
_space_group_IT_number 1
_space_group_name_Hall 'P 1'
loop_
_atom_site_label
_atom_site_type_symbol
_atom_site_fract_x
_atom_site_fract_y
_atom_site_fract_z
Ce1 Ce 0.1164 0.3884 0.3827
Ce2 Ce 0.3794 0.1158 0.1126
Ce3 Ce 0.6206 0.8842 0.8874
Ce4 Ce 0.8836 0.6116 0.6173
Te1 Te 0.0576 0.7603 0.0515
Te2 Te 0.2248 0.9639 0.6839
Te3 Te 0.3241 0.4854 0.7685
Te4 Te 0.4868 0.7447 0.4914
Te5 Te 0.5132 0.2553 0.5086
Te6 Te 0.6759 0.5146 0.2315
Te7 Te 0.7752 0.0361 0.3161
Te8 Te 0.9424 0.2397 0.9485
Cl1 Cl 0.1235 0.8936 0.3876
Cl2 Cl 0.3702 0.5997 0.1102
Cl3 Cl 0.6298 0.4003 0.8898
Cl4 Cl 0.8765 0.1064 0.6124
O1 O 0.0098 0.6673 0.8509
O2 O 0.0438 0.8096 0.6387
O3 O 0.1156 0.5046 0.6235
O4 O 0.1363 0.1529 0.9766
O5 O 0.2383 0.9218 0.1054
O6 O 0.3073 0.5807 0.4290
O7 O 0.3340 0.2514 0.3343
O8 O 0.3597 0.3838 0.5935
O9 O 0.3698 0.9930 0.8837
O10 O 0.4023 0.8618 0.6508
O11 O 0.4640 0.6707 0.8370
O12 O 0.5360 0.3293 0.1630
O13 O 0.5977 0.1382 0.3492
O14 O 0.6302 0.0070 0.1163
O15 O 0.6403 0.6162 0.4065
O16 O 0.6660 0.7486 0.6657
O17 O 0.6927 0.4193 0.5710
O18 O 0.7617 0.0782 0.8946
O19 O 0.8637 0.8471 0.0234
O20 O 0.8844 0.4954 0.3765
O21 O 0.9562 0.1904 0.3613
O22 O 0.9902 0.3327 0.1491
```

The 6 most intense peaks (10 to 90 degrees two-theta), sorted by position:
two_theta  intensity
10.2  32
21.5  100
22.7  24
24.3  22
26.4  84
32.6  19

=====

Structure and simulated powder diffraction line list of Tb6Pm2YSc (DFT lattice parameters and positions (PBE); Cu Ka).
Peak positions follow from Bragg's law for the DFT cell and can differ from measured ones.

Structural model:
```
data_Tb6Pm2YSc
_cell_length_a 8.7376
_cell_length_b 8.7376
_cell_length_c 9.5687
_cell_angle_alpha 94.21
_cell_angle_beta 94.21
_cell_angle_gamma 117.73
_space_group_name_H-M_alt 'P 1'
_space_group_IT_number 1
_space_group_name_Hall 'P 1'
loop_
_atom_site_label
_atom_site_type_symbol
_atom_site_fract_x
_atom_site_fract_y
_atom_site_fract_z
Tb1 Tb 0.0094 0.5696 0.1920
Tb2 Tb 0.1277 0.7486 0.5556
Tb3 Tb 0.2514 0.8723 0.9444
Tb4 Tb 0.2927 0.5025 0.3831
Tb5 Tb 0.4304 0.9906 0.3080
Tb6 Tb 0.4975 0.7073 0.1169
Tb7 Tb 0.5025 0.2927 0.8831
Tb8 Tb 0.5696 0.0094 0.6920
Tb9 Tb 0.7073 0.4975 0.6169
Tb10 Tb 0.7486 0.1277 0.0556
Tb11 Tb 0.8723 0.2514 0.4444
Tb12 Tb 0.9906 0.4304 0.8080
Pm1 Pm 0.1993 0.3033 0.0444
Pm2 Pm 0.3033 0.1993 0.5444
Pm3 Pm 0.6967 0.8007 0.4556
Pm4 Pm 0.8007 0.6967 0.9556
Y1 Y 0.0184 0.9816 0.2500
Y2 Y 0.9816 0.0184 0.7500
Sc1 Sc 0.4116 0.5884 0.7500
Sc2 Sc 0.5884 0.4116 0.2500
```

The 6 most intense peaks (10 to 90 degrees two-theta), sorted by position:
two_theta  intensity
28.8  35
30.7  100
31.5  39
31.7  94
33.9  48
38.4  21